(1)
This entry pairs a crystal structure of Na2ZnH8S2O12 with its calculated X-ray powder pattern. Radiation: Cu Kα, 1.54184 Å. Structure: DFT lattice parameters and positions (GGA-PBE).

Crystal structure
Cell: 5.3971 8.0626 10.8569 Å, 90.00 99.64 90.00°
Atoms (fractional coordinates):
Na1 0.1225 0.0804 0.3627
Na2 0.1225 0.4196 0.8627
Na3 0.8775 0.5804 0.1373
Na4 0.8775 0.9196 0.6373
Zn1 0.0000 0.0000 0.0000
Zn2 0.0000 0.5000 0.5000
H1 0.2164 0.6449 0.3416
H2 0.2164 0.8551 0.8416
H3 0.2343 0.7173 0.0098
H4 0.2343 0.7827 0.5098
H5 0.2368 0.0526 0.8174
H6 0.2368 0.4474 0.3174
H7 0.3332 0.7005 0.6381
H8 0.3332 0.7995 0.1381
H9 0.6668 0.2005 0.8619
H10 0.6668 0.2995 0.3619
H11 0.7632 0.5526 0.6826
H12 0.7632 0.9474 0.1826
H13 0.7657 0.2173 0.4902
H14 0.7657 0.2827 0.9902
H15 0.7836 0.1449 0.1584
H16 0.7836 0.3551 0.6584
S1 0.3864 0.2094 0.6380
S2 0.3864 0.2906 0.1380
S3 0.6136 0.7094 0.8620
S4 0.6136 0.7906 0.3620
O1 0.1195 0.5388 0.3326
O2 0.1195 0.9612 0.8326
O3 0.1751 0.7197 0.5779
O4 0.1751 0.7803 0.0779
O5 0.2168 0.0796 0.5788
O6 0.2168 0.4204 0.0788
O7 0.3336 0.1279 0.0752
O8 0.3336 0.3721 0.5752
O9 0.3449 0.6674 0.8688
O10 0.3449 0.8326 0.3688
O11 0.3673 0.2230 0.7744
O12 0.3673 0.2770 0.2744
O13 0.6327 0.7230 0.7256
O14 0.6327 0.7770 0.2256
O15 0.6551 0.1674 0.6312
O16 0.6551 0.3326 0.1312
O17 0.6664 0.6279 0.4248
O18 0.6664 0.8721 0.9248
O19 0.7832 0.5796 0.9212
O20 0.7832 0.9204 0.4212
O21 0.8249 0.2197 0.9221
O22 0.8249 0.2803 0.4221
O23 0.8805 0.0388 0.1674
O24 0.8805 0.4612 0.6674

Main lines, by angle (2θ from 5° to 70°):
2θ (°), I/Imax
13.75, 22
16.60, 20
19.94, 51
21.49, 35
22.73, 21
27.33, 24
27.75, 100
27.84, 34
28.18, 20
34.92, 26



(2)
This entry pairs a crystal structure of NaZnSiHO4 with its calculated X-ray powder pattern. Radiation: Cu Kα, 1.54184 Å. Structure: DFT lattice parameters and positions (GGA-PBE).

Crystal structure
Cell: 5.1394 7.6310 9.3065 Å, 90.00 90.00 90.00°
Atoms (fractional coordinates):
Na1 0.0230 0.2093 0.3349
Na2 0.4770 0.7907 0.8349
Na3 0.5230 0.2907 0.6651
Na4 0.9770 0.7093 0.1651
Zn1 0.0223 0.1082 0.9924
Zn2 0.4777 0.8918 0.4924
Zn3 0.5223 0.3918 0.0076
Zn4 0.9777 0.6082 0.5076
Si1 0.0117 0.4871 0.8377
Si2 0.4883 0.5129 0.3377
Si3 0.5117 0.0129 0.1623
Si4 0.9883 0.9871 0.6623
H1 0.0219 0.2864 0.6249
H2 0.4781 0.7136 0.1249
H3 0.5219 0.2136 0.3751
H4 0.9781 0.7864 0.8751
O1 0.0867 0.9587 0.8279
O2 0.1093 0.1708 0.5923
O3 0.1272 0.8321 0.5672
O4 0.1718 0.5139 0.3445
O5 0.3282 0.4861 0.8445
O6 0.3728 0.1679 0.0672
O7 0.3907 0.8292 0.0923
O8 0.4133 0.0413 0.3279
O9 0.5867 0.5413 0.1721
O10 0.6093 0.3292 0.4077
O11 0.6272 0.6679 0.4328
O12 0.6718 0.9861 0.6555
O13 0.8282 0.0139 0.1555
O14 0.8728 0.3321 0.9328
O15 0.8907 0.6708 0.9077
O16 0.9133 0.4587 0.6721

Main lines, by angle (2θ from 5° to 70°):
2θ (°), I/Imax
15.01, 79
19.07, 50
22.95, 78
29.15, 78
30.73, 46
31.12, 78
34.92, 73
35.07, 100
35.80, 80
36.62, 47



(3)
This entry pairs a crystal structure of NaZnH9O6 with its calculated X-ray powder pattern. Radiation: Cu Kα, 1.54184 Å. Structure: DFT lattice parameters and positions (GGA-PBE).

Crystal structure
Cell: 3.2786 7.9789 10.5807 Å, 95.32 95.68 93.07°
Atoms (fractional coordinates):
Na1 0.1821 0.2238 0.2792
Na2 0.8179 0.7762 0.7208
Zn1 0.2411 0.4094 0.8230
Zn2 0.7589 0.5906 0.1770
H1 0.0555 0.8648 0.3721
H2 0.0629 0.8100 0.0592
H3 0.0873 0.6675 0.5057
H4 0.2137 0.3809 0.0702
H5 0.2285 0.5319 0.5988
H6 0.3245 0.0218 0.8812
H7 0.4517 0.3057 0.6076
H8 0.4644 0.9508 0.3358
H9 0.4729 0.1398 0.0649
H10 0.5271 0.8602 0.9351
H11 0.5356 0.0492 0.6642
H12 0.5483 0.6943 0.3924
H13 0.6755 0.9782 0.1188
H14 0.7715 0.4681 0.4012
H15 0.7863 0.6191 0.9298
H16 0.9127 0.3325 0.4943
H17 0.9371 0.1900 0.9408
H18 0.9445 0.1352 0.6279
O1 0.1879 0.3278 0.6391
O2 0.2017 0.9763 0.3663
O3 0.2250 0.2267 0.9379
O4 0.2355 0.4559 0.1515
O5 0.2610 0.6542 0.5865
O6 0.3683 0.9003 0.8598
O7 0.6317 0.0997 0.1402
O8 0.7390 0.3458 0.4135
O9 0.7645 0.5441 0.8485
O10 0.7750 0.7733 0.0621
O11 0.7983 0.0237 0.6337
O12 0.8121 0.6722 0.3609

Main lines, by angle (2θ from 5° to 70°):
2θ (°), I/Imax
8.44, 40
11.16, 100
13.32, 25
16.92, 38
21.23, 27
23.19, 41
28.95, 45
29.57, 27
32.63, 26
34.19, 39



(4)
This entry pairs a crystal structure of Na2ZnH4O4 with its calculated X-ray powder pattern. Radiation: Cu Kα, 1.54184 Å. Structure: DFT lattice parameters and positions (GGA-PBE).

Crystal structure
Cell: 7.6766 6.2927 10.8257 Å, 90.00 129.73 90.00°
Atoms (fractional coordinates):
Na1 0.0118 0.0600 0.2839
Na2 0.0118 0.4400 0.7839
Na3 0.4840 0.7484 0.4943
Na4 0.4840 0.7516 0.9943
Na5 0.5160 0.2484 0.0057
Na6 0.5160 0.2516 0.5057
Na7 0.9882 0.5600 0.2161
Na8 0.9882 0.9400 0.7161
Zn1 0.1837 0.2452 0.6278
Zn2 0.1837 0.2548 0.1278
Zn3 0.8163 0.7452 0.8722
Zn4 0.8163 0.7548 0.3722
H1 0.1826 0.0095 0.9721
H2 0.1826 0.4905 0.4721
H3 0.2147 0.6675 0.0597
H4 0.2147 0.8325 0.5597
H5 0.2693 0.6115 0.7252
H6 0.2693 0.8885 0.2252
H7 0.4601 0.5299 0.2601
H8 0.4601 0.9701 0.7601
H9 0.5399 0.0299 0.2399
H10 0.5399 0.4701 0.7399
H11 0.7307 0.1115 0.7748
H12 0.7307 0.3885 0.2748
H13 0.7853 0.1675 0.4403
H14 0.7853 0.3325 0.9403
H15 0.8174 0.5095 0.5279
H16 0.8174 0.9905 0.0279
O1 0.1372 0.7330 0.9530
O2 0.1372 0.7670 0.4530
O3 0.1818 0.1653 0.9555
O4 0.1818 0.3347 0.4555
O5 0.3250 0.5200 0.2523
O6 0.3250 0.9800 0.7523
O7 0.3346 0.0185 0.2891
O8 0.3346 0.4815 0.7891
O9 0.6654 0.5185 0.2109
O10 0.6654 0.9815 0.7109
O11 0.6750 0.0200 0.2477
O12 0.6750 0.4800 0.7477
O13 0.8182 0.6653 0.5445
O14 0.8182 0.8347 0.0445
O15 0.8628 0.2330 0.5470
O16 0.8628 0.2670 0.0470

Main lines, by angle (2θ from 5° to 70°):
2θ (°), I/Imax
20.63, 100
25.66, 75
28.37, 28
35.77, 53
35.91, 55
36.24, 29
38.28, 35
44.29, 33
45.95, 29
55.04, 42



(5)
This entry pairs a crystal structure of NaHPd3 with its calculated X-ray powder pattern. Radiation: Cu Kα, 1.54184 Å. Structure: DFT lattice parameters and positions (GGA-PBE).

Crystal structure
Cell: 2.7991 5.6715 8.4010 Å, 90.00 90.00 90.00°
Atoms (fractional coordinates):
Na1 0.0000 0.0000 0.0000
Na2 0.0000 0.5000 0.5000
H1 0.0000 0.0000 0.2945
H2 0.0000 0.5000 0.7945
Pd1 0.0000 0.0000 0.5134
Pd2 0.0000 0.5000 0.0134
Pd3 0.5000 0.2491 0.2533
Pd4 0.5000 0.2509 0.7533
Pd5 0.5000 0.7491 0.7533
Pd6 0.5000 0.7509 0.2533

Main lines, by angle (2θ from 5° to 70°):
2θ (°), I/Imax
18.88, 36
21.15, 15
37.39, 13
38.30, 100
38.66, 97
43.07, 36
45.54, 62
64.47, 42
65.87, 10
66.85, 10



(6)
This entry pairs a crystal structure of NbH3 with its calculated X-ray powder pattern. Radiation: Cu Kα, 1.54184 Å. Structure: DFT lattice parameters and positions (GGA-PBE).

Crystal structure
Cell: 6.5323 6.5323 6.5323 Å, 109.47 109.47 109.47°
Atoms (fractional coordinates):
Nb1 0.0000 0.0861 0.5000
Nb2 0.0000 0.5861 0.5000
Nb3 0.0861 0.5000 0.0000
Nb4 0.4139 0.4139 0.4139
Nb5 0.5000 0.0000 0.0861
Nb6 0.5000 0.0000 0.5861
Nb7 0.5861 0.5000 0.0000
Nb8 0.9139 0.9139 0.9139
H1 0.0509 0.9242 0.7009
H2 0.0758 0.2767 0.1267
H3 0.1267 0.0758 0.2767
H4 0.1500 0.8733 0.4491
H5 0.2009 0.4242 0.5509
H6 0.2233 0.2991 0.8500
H7 0.2767 0.1267 0.0758
H8 0.2991 0.8500 0.2233
H9 0.3500 0.7991 0.7233
H10 0.3733 0.6500 0.9491
H11 0.4242 0.5509 0.2009
H12 0.4491 0.1500 0.8733
H13 0.5509 0.2009 0.4242
H14 0.5758 0.6267 0.7767
H15 0.6267 0.7767 0.5758
H16 0.6500 0.9491 0.3733
H17 0.7009 0.0509 0.9242
H18 0.7233 0.3500 0.7991
H19 0.7767 0.5758 0.6267
H20 0.7991 0.7233 0.3500
H21 0.8500 0.2233 0.2991
H22 0.8733 0.4491 0.1500
H23 0.9242 0.7009 0.0509
H24 0.9491 0.3733 0.6500

Main lines, by angle (2θ from 5° to 70°):
2θ (°), I/Imax
29.00, 35
33.61, 100
37.71, 53
44.97, 20
48.26, 7
57.29, 20
60.09, 12
62.82, 35
68.08, 23